For Ac3Mg3Pd8, a crystal structure in Alexandria, relaxed with GGA-PBE gives the simulated X-ray powder pattern in this record (Cu Kα, 1.54184 Å).
Kinematic intensities with the Lorentz-polarization factor, no thermal factor.

Most intense lines, 10 to 90 degrees two-theta, in order of rising 2θ:
h k l  two_theta  I/Imax
0 0 2  12.83  16
1 0 3  27.76  29
0 2 4  31.75  34
1 2 3  33.37  40
0 3 3  33.71  21
1 3 0  34.01  100
1 0 5  38.27  21
2 0 0  40.16  31
2 2 4  52.07  17
1 4 7  64.12  20

Crystal structure
a = 4.4909 Å, b = 9.7733 Å, c = 13.8017 Å
α = 90.00°, β = 90.00°, γ = 90.00°
Space group Immm (No. 71)
Inequivalent atoms, fractional coordinates:
Ac 0.0000 0.0000 0.0000 (multiplicity 2)
Ac 0.0000 0.0000 0.2882 (multiplicity 4)
Mg 0.0000 0.2220 0.5000 (multiplicity 4)
Mg 0.0000 0.5000 0.0000 (multiplicity 2)
Pd 0.0000 0.2914 0.1164 (multiplicity 8)
Pd 0.0000 0.3560 0.3280 (multiplicity 8)


For LiPu2Au6, a crystal structure in Alexandria, relaxed with GGA-PBE gives the simulated X-ray powder pattern in this record (Cu Kα, 1.54184 Å).
Kinematic intensities with the Lorentz-polarization factor, no thermal factor.

Most intense lines, 10 to 90 degrees two-theta, in order of rising 2θ:
h k l  two_theta  I/Imax
0 0 2  31.19  18
1 1 1  33.13  13
2 0 0  33.76  26
1 0 2  35.58  27
0 2 1  37.32  100
2 0 2  46.62  12
1 2 2  55.91  12
2 2 0  60.38  20
0 1 4  67.68  13
4 0 1  73.17  14

Crystal structure
a = 6.1320 Å, b = 6.1320 Å, c = 5.7355 Å
α = 90.00°, β = 90.00°, γ = 120.00°
Space group P-3m1 (No. 164)
Inequivalent atoms, fractional coordinates:
Li 0.0000 0.0000 0.0000 (multiplicity 1)
Pu 0.3333 0.6667 0.8413 (multiplicity 2)
Au 0.1755 0.3510 0.3081 (multiplicity 6)